# La14NdMg
Simulated powder diffraction line list, Cu Ka. Input: a DFT-relaxed cell (PBE, Alexandria).
Neutral-atom scattering factors, no anomalous dispersion.

Peak list (8 most intense, 2θ = 15–90°, in order of rising 2θ)
2θ 29.6, rel. 100, hkl 2 0 2; 2θ 34.1, rel. 17, hkl 0 0 4; 2θ 34.5, rel. 33, hkl 2 2 0; 2θ 49.3, rel. 24, hkl 2 2 4; 2θ 49.5, rel. 12, hkl 4 0 0; 2θ 58.3, rel. 15, hkl 2 0 6; 2θ 58.8, rel. 28, hkl 4 2 2; 2θ 61.5, rel. 12, hkl 4 0 4

Atomic structure:
```
data_La14NdMg
_space_group_name_H-M_alt 'P 4/m m m'
_space_group_IT_number 123
_space_group_name_Hall '-P 4 2'
_cell_length_a 7.3630
_cell_length_b 7.3630
_cell_length_c 10.5132
_cell_angle_alpha 90.00
_cell_angle_beta 90.00
_cell_angle_gamma 90.00
loop_
_atom_site_label
_atom_site_type_symbol
_atom_site_fract_x
_atom_site_fract_y
_atom_site_fract_z
La1 La 0.0000 0.0000 0.0000
La2 La 0.0000 0.5000 0.0000
La3 La 0.0000 0.5000 0.5000
La4 La 0.2469 0.2469 0.2533
La5 La 0.5000 0.5000 0.0000
Nd1 Nd 0.5000 0.5000 0.5000
Mg1 Mg 0.0000 0.0000 0.5000
```

# Dy7Al2Cu2
Simulated powder diffraction line list, Cu Ka. Input: a DFT-relaxed cell (PBE, Alexandria).
Neutral-atom scattering factors, no anomalous dispersion.

Peak list (8 most intense, 2θ = 15–90°, in order of rising 2θ)
2θ 25.7, rel. 23, hkl 0 0 2; 2θ 28.0, rel. 100, hkl 2 2 0; 2θ 29.4, rel. 41, hkl 1 1 2; 2θ 32.6, rel. 54, hkl 0 4 0; 2θ 34.6, rel. 21, hkl 2 0 2; 2θ 37.5, rel. 36, hkl 1 3 2; 2θ 38.4, rel. 80, hkl 2 2 2; 2θ 60.9, rel. 22, hkl 2 2 4

Atomic structure:
```
data_Dy7Al2Cu2
_space_group_name_H-M_alt 'C m m m'
_space_group_IT_number 65
_space_group_name_Hall '-C 2 2'
_cell_length_a 7.8150
_cell_length_b 10.9890
_cell_length_c 6.9263
_cell_angle_alpha 90.00
_cell_angle_beta 90.00
_cell_angle_gamma 90.00
loop_
_atom_site_label
_atom_site_type_symbol
_atom_site_fract_x
_atom_site_fract_y
_atom_site_fract_z
Dy1 Dy 0.0000 0.0000 0.0000
Dy2 Dy 0.0000 0.5000 0.2513
Dy3 Dy 0.2500 0.2500 0.2623
Al1 Al 0.1663 0.0000 0.5000
Cu1 Cu 0.0000 0.2956 0.0000
```

# Hf2UGa
Simulated powder diffraction line list, Cu Ka. Input: a DFT-relaxed cell (PBE, Alexandria).
Neutral-atom scattering factors, no anomalous dispersion.

Peak list (8 most intense, 2θ = 15–90°, in order of rising 2θ)
2θ 29.6, rel. 10, hkl 0 0 3; 2θ 31.5, rel. 16, hkl 1 0 1; 2θ 36.0, rel. 100, hkl 1 0 2; 2θ 39.8, rel. 16, hkl 0 0 4; 2θ 42.8, rel. 33, hkl 1 1 0; 2θ 59.8, rel. 20, hkl 1 1 4; 2θ 62.1, rel. 11, hkl 2 0 0; 2θ 73.9, rel. 25, hkl 2 1 2

Atomic structure:
```
data_Hf2UGa
_space_group_name_H-M_alt 'P 4/m m m'
_space_group_IT_number 123
_space_group_name_Hall '-P 4 2'
_cell_length_a 2.9913
_cell_length_b 2.9913
_cell_length_c 9.0586
_cell_angle_alpha 90.00
_cell_angle_beta 90.00
_cell_angle_gamma 90.00
loop_
_atom_site_label
_atom_site_type_symbol
_atom_site_fract_x
_atom_site_fract_y
_atom_site_fract_z
Hf1 Hf 0.0000 0.0000 0.2243
U1 U 0.5000 0.5000 0.5000
Ga1 Ga 0.5000 0.5000 0.0000
```

# LiGeB
Simulated powder diffraction line list, Cu Ka. Input: a DFT-relaxed cell (PBE, Alexandria).
Neutral-atom scattering factors, no anomalous dispersion.

Peak list (8 most intense, 2θ = 15–90°, in order of rising 2θ)
2θ 18.7, rel. 100, hkl 0 1 0; 2θ 25.7, rel. 40, hkl 1 0 -1; 2θ 31.9, rel. 41, hkl 1 1 -1; 2θ 33.3, rel. 29, hkl 1 0 1; 2θ 37.9, rel. 23, hkl 0 2 0; 2θ 38.4, rel. 41, hkl 1 1 1; 2θ 46.6, rel. 38, hkl 1 1 -2; 2θ 47.0, rel. 36, hkl 2 1 0

Atomic structure:
```
data_LiGeB
_space_group_name_H-M_alt 'P 1 2/m 1'
_space_group_IT_number 10
_cell_length_a 4.3676
_cell_length_b 4.7514
_cell_length_c 4.4136
_cell_angle_alpha 90.00
_cell_angle_beta 104.40
_cell_angle_gamma 90.00
loop_
_space_group_symop_operation_xyz
'x,y,z'
'-x,-y,-z'
'-x,y,-z'
'x,-y,z'
loop_
_atom_site_label
_atom_site_type_symbol
_atom_site_fract_x
_atom_site_fract_y
_atom_site_fract_z
Li1 Li 0.0000 0.0000 0.0000
Li2 Li 0.5000 0.0000 0.5000
Ge1 Ge 0.1996 0.5000 0.8150
B1 B 0.0000 0.1668 0.5000
```